1.
The following is a theoretical powder diffraction line list of BaCa2InCo. It was derived from a GGA-PBE-relaxed structure, using Cu Kα (weighted mean of Kα1 and Kα2).
No peak broadening, texture or thermal motion is included.

Main lines, low angle first (10° ≤ 2θ ≤ 90°):
two_theta	intensity	(hkl)
23.13	59	1 1 0
28.84	100	1 1 1
32.94	75	2 0 0
34.37	33	0 0 2
41.84	25	1 1 2
47.28	26	2 2 0
48.35	49	2 0 2
56.33	29	3 1 1
59.75	25	2 2 2
88.77	17	4 2 2

Structure:
Cell: 5.438 5.438 5.218 Å, 90.00 90.00 90.00°
Space group P4/mmm (No. 123)
One atom of each set of equivalent atoms:
Ba 0.000 0.000 0.000 x1
Ca 0.000 0.500 0.500 x2
In 0.500 0.500 0.000 x1
Co 0.500 0.500 0.500 x1

=====

2.
The following is a theoretical powder diffraction line list of BaCa4Co2N4. It was derived from a GGA-PBE-relaxed structure, using Cu Kα (weighted mean of Kα1 and Kα2).
No peak broadening, texture or thermal motion is included.

Main lines, low angle first (10° ≤ 2θ ≤ 90°):
two_theta	intensity	(hkl)
14.62	20	0 0 2
18.07	58	1 0 2
28.00	62	2 1 2
32.60	72	2 1 3
33.84	100	3 1 0
47.56	20	1 1 6
48.61	17	4 2 0
57.04	17	5 0 2
64.05	17	4 0 6
66.19	17	3 3 6

Structure:
Cell: 8.376 8.376 12.120 Å, 90.00 90.00 90.00°
Space group P4/ncc (No. 130, origin choice 2)
One atom of each set of equivalent atoms:
Ba 0.250 0.250 0.160 x4
Ca 0.084 0.630 0.095 x16
Co 0.094 0.594 0.750 x8
N 0.069 0.627 0.895 x16